Dy4Ho3Tl: computed X-ray powder pattern (λ = 1.5418 Å (Cu Kα)), based on the PBE geometry in Alexandria.
Kinematic intensities with the Lorentz-polarization factor, no thermal factor.

Largest 10 diffraction maxima, low angle first, 2θ = 15–90°:
(1 0 4), 31.27°, rel. 100; (1 1 0), 35.70°, rel. 37; (0 0 8), 37.36°, rel. 14; (2 0 0), 51.37°, rel. 13; (1 1 8), 52.63°, rel. 21; (2 1 4), 61.38°, rel. 30; (1 0 12), 63.61°, rel. 9; (2 0 8), 65.22°, rel. 11; (3 0 4), 84.07°, rel. 6; (2 1 12), 86.06°, rel. 8

Structure:
```
data_Dy4Ho3Tl
_space_group_name_H-M_alt 'P 4/m m m'
_space_group_IT_number 123
_space_group_name_Hall '-P 4 2'
_cell_length_a 3.557
_cell_length_b 3.557
_cell_length_c 19.255
_cell_angle_alpha 90.00
_cell_angle_beta 90.00
_cell_angle_gamma 90.00
loop_
_atom_site_label
_atom_site_type_symbol
_atom_site_fract_x
_atom_site_fract_y
_atom_site_fract_z
Dy1 Dy 0.000 0.000 0.112
Dy2 Dy 0.000 0.000 0.371
Ho1 Ho 0.500 0.500 0.241
Ho2 Ho 0.500 0.500 0.500
Tl1 Tl 0.500 0.500 0.000
```